Entry 1:
# Sr2NiN2
Computed powder diffractogram, copper Kα. Input: a structure optimized by DFT (PBE).

Top 8 peaks for 10° ≤ 2θ ≤ 80°, low angle first:
| Position (°2θ) | I (rel.) |
| --- | --- |
| 31.67 | 1000 |
| 32.89 | 772 |
| 43.54 | 110 |
| 47.20 | 266 |
| 55.62 | 205 |
| 57.95 | 361 |
| 66.15 | 119 |
| 78.54 | 111 |

Structural model:
```
Sr2NiN2
1.0
-1.9258 1.9258 6.2361
1.9258 -1.9258 6.2361
1.9258 1.9258 -6.2361
Sr Ni N
2 1 2
Direct
0.0000 0.0000 0.0000 Sr
0.2961 0.2961 0.0000 Sr
0.6490 0.6490 0.0000 Ni
0.5083 0.5083 0.0000 N
0.7900 0.7900 0.0000 N
```



Entry 2:
# Ti7Ni3N10
Computed powder diffractogram, copper Kα. Input: a structure optimized by DFT (PBE).

Top 8 peaks for 10° ≤ 2θ ≤ 80°, low angle first:
| Position (°2θ) | I (rel.) |
| --- | --- |
| 33.53 | 364 |
| 35.71 | 467 |
| 36.26 | 787 |
| 49.79 | 439 |
| 50.22 | 1000 |
| 64.51 | 212 |
| 65.59 | 114 |
| 74.70 | 114 |

Structural model:
```
Ti7Ni3N10
1.0
-2.6726 7.1169 2.5142
2.6726 -7.1169 2.5142
2.6726 7.1169 -2.5142
Ti Ni N
7 3 10
Direct
0.0000 0.0000 0.0000 Ti
0.1949 0.4944 0.7005 Ti
0.3910 0.9904 0.4006 Ti
0.4075 0.5079 0.8996 Ti
0.5898 0.9904 0.5994 Ti
0.6083 0.5079 0.1004 Ti
0.7939 0.4944 0.2995 Ti
0.1869 0.9824 0.2045 Ni
0.7779 0.9824 0.7955 Ni
0.9294 0.4294 0.5000 Ni
0.1376 0.0837 0.5469 N
0.1376 0.5908 0.0540 N
0.3518 0.1137 0.7619 N
0.3518 0.5900 0.2381 N
0.5368 0.0837 0.9460 N
0.5368 0.5908 0.4531 N
0.7292 0.0836 0.1558 N
0.7292 0.5735 0.6456 N
0.9279 0.0836 0.3544 N
0.9279 0.5735 0.8442 N
```



Entry 3:
# VNiN2
Computed powder diffractogram, copper Kα. Input: a structure optimized by DFT (PBE).

Top 8 peaks for 10° ≤ 2θ ≤ 80°, low angle first:
| Position (°2θ) | I (rel.) |
| --- | --- |
| 36.57 | 219 |
| 40.81 | 1000 |
| 45.94 | 274 |
| 52.47 | 152 |
| 65.26 | 249 |
| 68.71 | 181 |
| 77.20 | 143 |
| 79.90 | 119 |

Structural model:
```
VNiN2
1.0
2.8592 0.0000 0.0000
-1.4296 2.4762 0.0000
0.0000 0.0000 9.8279
V Ni N
2 2 4
Direct
0.3333 0.6667 0.2500 V
0.6667 0.3333 0.7500 V
0.0000 0.0000 0.0000 Ni
0.0000 0.0000 0.5000 Ni
0.3333 0.6667 0.6281 N
0.3333 0.6667 0.8719 N
0.6667 0.3333 0.1281 N
0.6667 0.3333 0.3719 N
```



Entry 4:
# V2NiN2
Computed powder diffractogram, copper Kα. Input: a structure optimized by DFT (PBE).

Top 8 peaks for 10° ≤ 2θ ≤ 80°, low angle first:
| Position (°2θ) | I (rel.) |
| --- | --- |
| 32.10 | 79 |
| 39.00 | 1000 |
| 44.63 | 616 |
| 46.74 | 263 |
| 50.41 | 13 |
| 64.95 | 174 |
| 66.61 | 318 |
| 78.43 | 234 |

Structural model:
```
V2NiN2
1.0
-1.4358 1.4358 5.8302
1.4358 -1.4358 5.8302
1.4358 1.4358 -5.8302
V Ni N
2 1 2
Direct
0.1666 0.1666 0.0000 V
0.8334 0.8334 0.0000 V
0.5000 0.5000 0.0000 Ni
0.3403 0.3403 0.0000 N
0.6597 0.6597 0.0000 N
```



Entry 5:
# V4Ni2N
Computed powder diffractogram, copper Kα. Input: a structure optimized by DFT (PBE).

Top 8 peaks for 10° ≤ 2θ ≤ 80°, low angle first:
| Position (°2θ) | I (rel.) |
| --- | --- |
| 14.15 | 82 |
| 40.76 | 296 |
| 43.36 | 1000 |
| 47.43 | 175 |
| 50.50 | 149 |
| 56.27 | 59 |
| 61.02 | 68 |
| 74.20 | 285 |

Structural model:
```
V4Ni2N
1.0
0.0000 5.4220 5.4220
5.4220 0.0000 5.4220
5.4220 5.4220 0.0000
V Ni N
16 8 4
Direct
0.0000 0.0000 0.0000 V
0.0000 0.0000 0.5000 V
0.0000 0.5000 0.0000 V
0.1946 0.1946 0.5554 V
0.1946 0.5554 0.1946 V
0.1946 0.5554 0.5554 V
0.4446 0.4446 0.8054 V
0.4446 0.8054 0.4446 V
0.4446 0.8054 0.8054 V
0.5000 0.0000 0.0000 V
0.5554 0.1946 0.1946 V
0.5554 0.1946 0.5554 V
0.5554 0.5554 0.1946 V
0.8054 0.4446 0.4446 V
0.8054 0.4446 0.8054 V
0.8054 0.8054 0.4446 V
0.1203 0.7932 0.7932 Ni
0.2068 0.2068 0.2068 Ni
0.2068 0.2068 0.8797 Ni
0.2068 0.8797 0.2068 Ni
0.7932 0.1203 0.7932 Ni
0.7932 0.7932 0.1203 Ni
0.7932 0.7932 0.7932 Ni
0.8797 0.2068 0.2068 Ni
0.0000 0.5000 0.5000 N
0.5000 0.0000 0.5000 N
0.5000 0.5000 0.0000 N
0.5000 0.5000 0.5000 N
```



Entry 6:
# NiW3N
Computed powder diffractogram, copper Kα. Input: a structure optimized by DFT (PBE).

Top 8 peaks for 10° ≤ 2θ ≤ 80°, low angle first:
| Position (°2θ) | I (rel.) |
| --- | --- |
| 35.58 | 466 |
| 36.88 | 1000 |
| 37.20 | 609 |
| 38.07 | 651 |
| 38.95 | 721 |
| 40.85 | 855 |
| 43.85 | 624 |
| 47.45 | 440 |

Structural model:
```
NiW3N
1.0
6.1740 0.0000 0.0000
0.0000 7.9398 0.0000
0.0000 0.0000 5.2532
Ni W N
4 12 4
Direct
0.1104 0.2500 0.0590 Ni
0.3896 0.7500 0.5590 Ni
0.6104 0.2500 0.4410 Ni
0.8896 0.7500 0.9410 Ni
0.0125 0.7500 0.3819 W
0.1892 0.5489 0.8525 W
0.1892 0.9511 0.8525 W
0.3108 0.0489 0.3525 W
0.3108 0.4511 0.3525 W
0.4875 0.2500 0.8819 W
0.5125 0.7500 0.1181 W
0.6892 0.5489 0.6475 W
0.6892 0.9511 0.6475 W
0.8108 0.0489 0.1475 W
0.8108 0.4511 0.1475 W
0.9875 0.2500 0.6181 W
0.0000 0.0000 0.5000 N
0.0000 0.5000 0.5000 N
0.5000 0.0000 0.0000 N
0.5000 0.5000 0.0000 N
```



Entry 7:
# Zn2NiN2
Computed powder diffractogram, copper Kα. Input: a structure optimized by DFT (PBE).

Top 8 peaks for 10° ≤ 2θ ≤ 80°, low angle first:
| Position (°2θ) | I (rel.) |
| --- | --- |
| 29.22 | 304 |
| 32.68 | 513 |
| 34.28 | 829 |
| 35.71 | 1000 |
| 37.47 | 436 |
| 39.65 | 513 |
| 50.68 | 415 |
| 57.76 | 331 |

Structural model:
```
Zn2NiN2
1.0
5.7068 -1.8013 0.0000
5.7068 1.8013 0.0000
-3.9259 0.0000 6.1088
Zn Ni N
4 2 4
Direct
0.0885 0.0885 0.2945 Zn
0.3414 0.3414 0.9812 Zn
0.6586 0.6586 0.0188 Zn
0.9115 0.9115 0.7055 Zn
0.3805 0.3805 0.3830 Ni
0.6195 0.6195 0.6170 Ni
0.1936 0.1936 0.1457 N
0.4773 0.4773 0.6833 N
0.5227 0.5227 0.3167 N
0.8064 0.8064 0.8543 N
```



Entry 8:
# Zn5NiN4
Computed powder diffractogram, copper Kα. Input: a structure optimized by DFT (PBE).

Top 8 peaks for 10° ≤ 2θ ≤ 80°, low angle first:
| Position (°2θ) | I (rel.) |
| --- | --- |
| 26.78 | 356 |
| 33.44 | 338 |
| 35.86 | 1000 |
| 36.23 | 888 |
| 36.99 | 444 |
| 50.72 | 314 |
| 56.57 | 221 |
| 65.69 | 250 |

Structural model:
```
Zn5NiN4
1.0
5.9240 0.0000 0.0000
0.0000 8.4986 0.0000
0.0000 0.0000 5.3590
Zn Ni N
10 2 8
Direct
0.0107 0.0738 0.2112 Zn
0.0107 0.4262 0.2112 Zn
0.2500 0.2500 0.7233 Zn
0.4893 0.0738 0.2112 Zn
0.4893 0.4262 0.2112 Zn
0.5107 0.5738 0.7888 Zn
0.5107 0.9262 0.7888 Zn
0.7500 0.7500 0.2767 Zn
0.9893 0.5738 0.7888 Zn
0.9893 0.9262 0.7888 Zn
0.2500 0.7500 0.3785 Ni
0.7500 0.2500 0.6215 Ni
0.0008 0.2500 0.4459 N
0.2500 0.0488 0.9334 N
0.2500 0.4512 0.9334 N
0.4992 0.2500 0.4459 N
0.5008 0.7500 0.5541 N
0.7500 0.5488 0.0666 N
0.7500 0.9512 0.0666 N
0.9992 0.7500 0.5541 N
```